Record 1
The following is a calculated XRD peak list of Ba2FeSe3. It was derived from a PBE-relaxed structure, using λ = 1.5418 Å (Cu Kα).
Peak positions follow from Bragg's law for the DFT cell and can differ from measured ones.

Atomic structure:
a b c (Å): 12.6865 4.4542 12.9745
angles (deg): 90.00 90.00 90.00
Fractional positions:
Ba 0.0116 0.2500 0.1751
Ba 0.1758 0.2500 0.5190
Ba 0.3242 0.7500 0.0190
Ba 0.4884 0.7500 0.6751
Ba 0.5116 0.2500 0.3249
Ba 0.6758 0.2500 0.9810
Ba 0.8242 0.7500 0.4810
Ba 0.9884 0.7500 0.8249
Fe 0.2453 0.7500 0.3012
Fe 0.2547 0.2500 0.8012
Fe 0.7453 0.7500 0.1988
Fe 0.7547 0.2500 0.6988
Se 0.0624 0.7500 0.3594
Se 0.1337 0.2500 0.9461
Se 0.2245 0.7500 0.7114
Se 0.2755 0.2500 0.2114
Se 0.3663 0.7500 0.4461
Se 0.4376 0.2500 0.8594
Se 0.5624 0.7500 0.1406
Se 0.6337 0.2500 0.5539
Se 0.7245 0.7500 0.7886
Se 0.7755 0.2500 0.2886
Se 0.8663 0.7500 0.0539
Se 0.9376 0.2500 0.6406

Main lines, low angle first (2θ = 10–90°):
25.2°, I 748
28.1°, I 970
28.8°, I 444
29.6°, I 1000
31.0°, I 465
31.4°, I 684
37.5°, I 656
40.5°, I 914

Record 2
The following is a calculated XRD peak list of Ba9Fe4Se16. It was derived from a PBE-relaxed structure, using λ = 1.5418 Å (Cu Kα).
Peak positions follow from Bragg's law for the DFT cell and can differ from measured ones.

Atomic structure:
a b c (Å): 19.3379 19.3379 9.9672
angles (deg): 104.81 104.81 137.24
Fractional positions:
Ba 0.0000 0.0000 0.0000
Ba 0.0664 0.3537 0.5801
Ba 0.1046 0.3163 0.0808
Ba 0.1737 0.6058 0.1218
Ba 0.2194 0.0028 0.3411
Ba 0.2663 0.1936 0.8389
Ba 0.3582 0.4228 0.6279
Ba 0.3942 0.8263 0.8782
Ba 0.4760 0.0479 0.6611
Ba 0.5090 0.2213 0.1570
Ba 0.5772 0.6418 0.3721
Ba 0.6463 0.9336 0.4199
Ba 0.6837 0.8954 0.9192
Ba 0.7495 0.2505 0.5000
Ba 0.7787 0.4910 0.8430
Ba 0.8064 0.7337 0.1611
Ba 0.9521 0.5240 0.3389
Ba 0.9972 0.7806 0.6589
Fe 0.0767 0.6641 0.8257
Fe 0.3359 0.9233 0.1743
Fe 0.4191 0.3303 0.3349
Fe 0.6697 0.5809 0.6651
Fe 0.7520 0.1652 0.0867
Fe 0.8348 0.2480 0.9133
Fe 0.9143 0.0013 0.5864
Fe 0.9987 0.0857 0.4136
Se 0.0207 0.1777 0.2716
Se 0.0814 0.5433 0.7195
Se 0.1111 0.0730 0.4033
Se 0.1205 0.2399 0.7382
Se 0.1283 0.7468 0.1173
Se 0.2520 0.7480 0.5000
Se 0.2533 0.0979 0.0905
Se 0.2532 0.8717 0.8827
Se 0.2964 0.3337 0.2251
Se 0.3272 0.6006 0.6074
Se 0.3400 0.0879 0.7369
Se 0.3507 0.5767 0.1064
Se 0.3994 0.6728 0.3926
Se 0.4233 0.6493 0.8936
Se 0.4567 0.9186 0.2805
Se 0.4941 0.1521 0.4282
Se 0.5015 0.3790 0.6219
Se 0.5049 0.4951 0.0000
Se 0.6210 0.4985 0.3781
Se 0.6300 0.0109 0.7631
Se 0.6424 0.1815 0.1000
Se 0.6663 0.7036 0.7749
Se 0.7300 0.0733 0.2291
Se 0.7601 0.8795 0.2618
Se 0.8185 0.3576 0.9000
Se 0.8223 0.9793 0.7284
Se 0.8479 0.5059 0.5718
Se 0.9021 0.7467 0.9095
Se 0.9121 0.6600 0.2631
Se 0.9267 0.2700 0.7709
Se 0.9270 0.8889 0.5967
Se 0.9891 0.3700 0.2369

Main lines, low angle first (2θ = 10–90°):
23.4°, I 136
27.8°, I 191
28.7°, I 1000
29.4°, I 174
29.6°, I 110
29.9°, I 254
32.1°, I 131
33.9°, I 205

Record 3
The following is a calculated XRD peak list of BaFe2Se3. It was derived from a PBE-relaxed structure, using λ = 1.5418 Å (Cu Kα).
Peak positions follow from Bragg's law for the DFT cell and can differ from measured ones.

Atomic structure:
a b c (Å): 7.5681 7.5681 5.4637
angles (deg): 90.00 90.00 105.77
Fractional positions:
Ba 0.1858 0.8142 0.7500
Ba 0.8142 0.1858 0.2500
Fe 0.3612 0.3612 0.0000
Fe 0.3612 0.3612 0.5000
Fe 0.6388 0.6388 0.0000
Fe 0.6388 0.6388 0.5000
Se 0.0900 0.3294 0.7500
Se 0.3294 0.0900 0.2500
Se 0.3663 0.6337 0.2500
Se 0.6337 0.3663 0.7500
Se 0.6706 0.9100 0.7500
Se 0.9100 0.6706 0.2500

Main lines, low angle first (2θ = 10–90°):
24.2°, I 216
24.4°, I 138
29.2°, I 160
29.5°, I 1000
44.8°, I 204
48.1°, I 155
52.2°, I 163
56.5°, I 155

Record 4
The following is a calculated XRD peak list of BaFe2Se4. It was derived from a PBE-relaxed structure, using λ = 1.5418 Å (Cu Kα).
Peak positions follow from Bragg's law for the DFT cell and can differ from measured ones.

Atomic structure:
a b c (Å): 7.9531 7.9531 5.2826
angles (deg): 90.00 90.00 90.00
Fractional positions:
Ba 0.0000 0.0000 0.0000
Ba 0.5000 0.5000 0.5000
Fe 0.0000 0.5000 0.2500
Fe 0.0000 0.5000 0.7500
Fe 0.5000 0.0000 0.2500
Fe 0.5000 0.0000 0.7500
Se 0.1200 0.6996 0.5000
Se 0.1996 0.3800 0.0000
Se 0.3004 0.1200 0.5000
Se 0.3800 0.8004 0.0000
Se 0.6200 0.1996 0.0000
Se 0.6996 0.8800 0.5000
Se 0.8004 0.6200 0.0000
Se 0.8800 0.3004 0.5000

Main lines, low angle first (2θ = 10–90°):
30.3°, I 1000
31.8°, I 122
35.7°, I 168
50.1°, I 418
51.4°, I 190
58.5°, I 150
60.8°, I 255
81.6°, I 112

Record 5
The following is a calculated XRD peak list of BaGa4. It was derived from a PBE-relaxed structure, using λ = 1.5418 Å (Cu Kα).
Peak positions follow from Bragg's law for the DFT cell and can differ from measured ones.

Atomic structure:
a b c (Å): 4.6211 4.6211 10.8927
angles (deg): 90.00 90.00 90.00
Fractional positions:
Ba 0.0000 0.0000 0.0000
Ba 0.5000 0.5000 0.5000
Ga 0.0000 0.0000 0.3789
Ga 0.0000 0.0000 0.6211
Ga 0.0000 0.5000 0.2500
Ga 0.0000 0.5000 0.7500
Ga 0.5000 0.0000 0.2500
Ga 0.5000 0.0000 0.7500
Ga 0.5000 0.5000 0.1211
Ga 0.5000 0.5000 0.8789

Main lines, low angle first (2θ = 10–90°):
31.3°, I 667
31.9°, I 1000
39.0°, I 642
46.1°, I 267
50.8°, I 336
56.3°, I 214
61.9°, I 218
66.2°, I 236

Record 6
The following is a calculated XRD peak list of Ba2GdGaSe5. It was derived from a PBE-relaxed structure, using λ = 1.5418 Å (Cu Kα).
Peak positions follow from Bragg's law for the DFT cell and can differ from measured ones.

Atomic structure:
a b c (Å): 7.4066 8.8224 9.5608
angles (deg): 103.63 103.08 107.47
Fractional positions:
Ba 0.1343 0.4783 0.2912
Ba 0.1582 0.9898 0.2937
Ba 0.8418 0.0102 0.7063
Ba 0.8657 0.5217 0.7088
Gd 0.4977 0.2313 0.9980
Gd 0.5023 0.7687 0.0020
Ga 0.3048 0.3714 0.6872
Ga 0.6952 0.6286 0.3128
Se 0.0115 0.7591 0.5078
Se 0.2046 0.9105 0.9450
Se 0.2103 0.4075 0.9251
Se 0.4829 0.6516 0.6863
Se 0.4876 0.1838 0.6832
Se 0.5124 0.8162 0.3168
Se 0.5171 0.3484 0.3137
Se 0.7897 0.5925 0.0749
Se 0.7954 0.0895 0.0550
Se 0.9885 0.2409 0.4922

Main lines, low angle first (2θ = 10–90°):
27.7°, I 755
27.8°, I 747
29.1°, I 1000
30.0°, I 649
30.1°, I 647
30.5°, I 571
40.7°, I 468
40.9°, I 655

Record 7
The following is a calculated XRD peak list of BaGaGeH. It was derived from a PBE-relaxed structure, using λ = 1.5418 Å (Cu Kα).
Peak positions follow from Bragg's law for the DFT cell and can differ from measured ones.

Atomic structure:
a b c (Å): 4.3780 4.3780 5.2696
angles (deg): 90.00 90.00 120.00
Fractional positions:
Ba 0.0000 0.0000 0.0000
Ga 0.6667 0.3333 0.5505
Ge 0.3333 0.6667 0.4463
H 0.6667 0.3333 0.8830

Main lines, low angle first (2θ = 10–90°):
29.0°, I 1000
34.0°, I 161
41.2°, I 358
41.7°, I 98
51.2°, I 202
54.5°, I 246
57.9°, I 137
67.8°, I 174

Record 8
The following is a calculated XRD peak list of Ba2GaGeN. It was derived from a PBE-relaxed structure, using λ = 1.5418 Å (Cu Kα).
Peak positions follow from Bragg's law for the DFT cell and can differ from measured ones.

Atomic structure:
a b c (Å): 7.3179 4.2523 9.4054
angles (deg): 90.00 108.86 90.00
Fractional positions:
Ba 0.1903 0.2500 0.3830
Ba 0.2048 0.2500 0.9618
Ba 0.7952 0.7500 0.0382
Ba 0.8097 0.7500 0.6170
Ga 0.4596 0.7500 0.2459
Ga 0.5404 0.2500 0.7541
Ge 0.3398 0.7500 0.7032
Ge 0.6602 0.2500 0.2968
N 0.1847 0.7500 0.1733
N 0.8153 0.2500 0.8267

Main lines, low angle first (2θ = 10–90°):
24.6°, I 288
27.1°, I 774
29.0°, I 1000
33.4°, I 363
34.4°, I 307
42.5°, I 285
51.1°, I 268
58.5°, I 193

Record 9
The following is a calculated XRD peak list of BaGa2Ge2O8. It was derived from a PBE-relaxed structure, using λ = 1.5418 Å (Cu Kα).
Peak positions follow from Bragg's law for the DFT cell and can differ from measured ones.

Atomic structure:
a b c (Å): 9.8009 9.8009 9.0241
angles (deg): 97.79 97.79 88.87
Fractional positions:
Ba 0.0666 0.5673 0.7923
Ba 0.4327 0.9334 0.7077
Ba 0.5673 0.0666 0.2923
Ba 0.9334 0.4327 0.2077
Ga 0.0515 0.7963 0.4730
Ga 0.2037 0.9485 0.0270
Ga 0.2981 0.4327 0.1143
Ga 0.4327 0.2981 0.6143
Ga 0.5673 0.7019 0.3857
Ga 0.7019 0.5673 0.8857
Ga 0.7963 0.0515 0.9730
Ga 0.9485 0.2037 0.5270
Ge 0.0716 0.2119 0.8968
Ge 0.2119 0.0716 0.3968
Ge 0.2883 0.5579 0.4807
Ge 0.4421 0.7117 0.0193
Ge 0.5579 0.2883 0.9807
Ge 0.7117 0.4421 0.5193
Ge 0.7881 0.9284 0.6032
Ge 0.9284 0.7881 0.1032
O 0.0217 0.2712 0.7214
O 0.0643 0.8208 0.0014
O 0.0740 0.1876 0.3886
O 0.1301 0.3723 0.0028
O 0.1453 0.6478 0.5477
O 0.1792 0.9357 0.4986
O 0.1876 0.0740 0.8886
O 0.2321 0.4738 0.2978
O 0.2712 0.0217 0.2214
O 0.3150 0.4449 0.6196
O 0.3214 0.5784 0.0077
O 0.3522 0.8547 0.9523
O 0.3723 0.1301 0.5028
O 0.4216 0.6786 0.4923
O 0.4449 0.3150 0.1196
O 0.4738 0.2321 0.7978
O 0.5262 0.7679 0.2022
O 0.5551 0.6850 0.8804
O 0.5784 0.3214 0.5077
O 0.6277 0.8699 0.4972
O 0.6478 0.1453 0.0477
O 0.6786 0.4216 0.9923
O 0.6850 0.5551 0.3804
O 0.7288 0.9783 0.7786
O 0.7679 0.5262 0.7022
O 0.8124 0.9260 0.1114
O 0.8208 0.0643 0.5014
O 0.8547 0.3522 0.4523
O 0.8699 0.6277 0.9972
O 0.9260 0.8124 0.6114
O 0.9357 0.1792 0.9986
O 0.9783 0.7288 0.2786

Main lines, low angle first (2θ = 10–90°):
22.3°, I 432
24.4°, I 530
25.3°, I 891
25.9°, I 1000
28.1°, I 556
29.1°, I 384
32.9°, I 644
33.0°, I 502

Record 10
The following is a calculated XRD peak list of BaGa2Ge2O8. It was derived from a PBE-relaxed structure, using λ = 1.5418 Å (Cu Kα).
Peak positions follow from Bragg's law for the DFT cell and can differ from measured ones.

Atomic structure:
a b c (Å): 8.9109 10.0720 9.4806
angles (deg): 90.00 90.38 90.00
Fractional positions:
Ba 0.2494 0.0874 0.1088
Ba 0.2494 0.4126 0.6088
Ba 0.7506 0.5874 0.3912
Ba 0.7506 0.9126 0.8912
Ga 0.0708 0.6925 0.0617
Ga 0.0708 0.8075 0.5617
Ga 0.4323 0.0796 0.7287
Ga 0.4323 0.4204 0.2287
Ga 0.5677 0.5796 0.7713
Ga 0.5677 0.9204 0.2713
Ga 0.9292 0.1925 0.4383
Ga 0.9292 0.3075 0.9383
Ge 0.0631 0.0831 0.7348
Ge 0.0631 0.4169 0.2348
Ge 0.4373 0.6968 0.0643
Ge 0.4373 0.8032 0.5643
Ge 0.5627 0.1968 0.4357
Ge 0.5627 0.3032 0.9357
Ge 0.9369 0.5831 0.7652
Ge 0.9369 0.9169 0.2652
O 0.0067 0.0773 0.3028
O 0.0067 0.4227 0.8028
O 0.0576 0.6327 0.6256
O 0.0576 0.8673 0.1256
O 0.0639 0.1919 0.5897
O 0.0639 0.3081 0.0897
O 0.2446 0.0868 0.8142
O 0.2446 0.4132 0.3142
O 0.2600 0.6457 0.0051
O 0.2600 0.8543 0.5051
O 0.4309 0.1918 0.5754
O 0.4309 0.3082 0.0754
O 0.4421 0.6353 0.6231
O 0.4421 0.8647 0.1231
O 0.4926 0.0895 0.3006
O 0.4926 0.4105 0.8006
O 0.5074 0.5895 0.1994
O 0.5074 0.9105 0.6994
O 0.5579 0.1353 0.8769
O 0.5579 0.3647 0.3769
O 0.5691 0.6918 0.9246
O 0.5691 0.8082 0.4246
O 0.7400 0.1457 0.4949
O 0.7400 0.3543 0.9949
O 0.7554 0.5868 0.6858
O 0.7554 0.9132 0.1858
O 0.9361 0.6919 0.9103
O 0.9361 0.8081 0.4103
O 0.9424 0.1327 0.8744
O 0.9424 0.3673 0.3744
O 0.9933 0.5773 0.1972
O 0.9933 0.9227 0.6972

Main lines, low angle first (2θ = 10–90°):
21.2°, I 482
21.3°, I 570
22.3°, I 761
25.8°, I 549
28.4°, I 1000
32.7°, I 667
32.9°, I 443
33.5°, I 553